Record 1
This entry pairs a crystal structure of Na6Tl8Sn with its computed powder X-ray diffraction pattern. Radiation: a wavelength of 1.5418 Å. Structure: DFT lattice parameters and positions (PBE).
Neutral-atom scattering factors, no anomalous dispersion.

Most intense lines, 10° ≤ 2θ ≤ 90°, low angle first:
2θ (°)	intensity	h k l
16.1	72.4	0 1 -1
31.6	100.0	2 2 1
31.8	82.5	-1 1 2
32.2	86.3	1 0 3
32.4	82.2	0 3 0
35.5	61.5	2 -1 1

Structure:
abc: 6.1662 8.7493 8.7923
angles: 78.03 73.24 72.78
Space group P-1 (No. 2)
Inequivalent atoms, fractional coordinates:
Na: 0.2008 0.3257 0.4386 [2 per cell]
Na: 0.2015 0.6644 0.7659 [2 per cell]
Na: 0.2029 0.9959 0.1076 [2 per cell]
Tl: 0.0015 0.3364 0.8379 [2 per cell]
Tl: 0.3911 0.6708 0.3698 [2 per cell]
Tl: 0.3931 0.9987 0.6993 [2 per cell]
Tl: 0.4006 0.3338 0.0342 [2 per cell]
Sn: 0.0000 0.0000 0.5000 [1 per cell]

***

Record 2
This entry pairs a crystal structure of NaTl3Sn2 with its computed powder X-ray diffraction pattern. Radiation: a wavelength of 1.5418 Å. Structure: DFT lattice parameters and positions (PBE).
Neutral-atom scattering factors, no anomalous dispersion.

Most intense lines, 10° ≤ 2θ ≤ 90°, low angle first:
2θ (°)	intensity	h k l
31.8	100.0	1 1 -2
32.0	97.6	3 1 0
34.0	42.6	4 0 -2
36.6	32.7	2 0 2
40.3	27.0	0 2 0
53.7	23.7	4 2 -2

Structure:
abc: 11.5927 4.4761 7.2445
angles: 90.00 112.20 90.00
Space group C2/m (No. 12)
Inequivalent atoms, fractional coordinates:
Na: 0.0000 0.0000 0.0000 [2 per cell]
Tl: 0.0000 0.0000 0.5000 [2 per cell]
Tl: 0.1618 0.5000 0.3275 [4 per cell]
Sn: 0.1802 0.5000 0.8574 [4 per cell]

***

Record 3
This entry pairs a crystal structure of Na3Tl2Sn2 with its computed powder X-ray diffraction pattern. Radiation: a wavelength of 1.5418 Å. Structure: DFT lattice parameters and positions (PBE).
Neutral-atom scattering factors, no anomalous dispersion.

Most intense lines, 10° ≤ 2θ ≤ 90°, low angle first:
2θ (°)	intensity	h k l
11.6	34.4	0 0 1
19.6	45.5	1 1 0
32.6	100.0	3 1 -1
32.9	98.9	1 1 2
34.4	87.9	0 2 0
60.5	34.3	3 3 -1

Structure:
abc: 9.7227 5.2147 8.0482
angles: 90.00 108.36 90.00
Space group C2/m (No. 12)
Inequivalent atoms, fractional coordinates:
Na: 0.0000 0.0000 0.0000 [2 per cell]
Na: 0.1386 0.0000 0.4310 [4 per cell]
Tl: 0.2090 0.5000 0.1445 [4 per cell]
Sn: 0.0811 0.5000 0.7189 [4 per cell]

***

Record 4
This entry pairs a crystal structure of Na16Tl12Sn with its computed powder X-ray diffraction pattern. Radiation: a wavelength of 1.5418 Å. Structure: DFT lattice parameters and positions (PBE).
Neutral-atom scattering factors, no anomalous dispersion.

Most intense lines, 10° ≤ 2θ ≤ 90°, low angle first:
2θ (°)	intensity	h k l
18.1	100.0	1 3 0
18.2	34.5	2 0 -2
31.7	39.1	1 5 1
35.0	56.8	3 5 -1
35.5	28.7	3 1 -4
38.2	30.8	5 1 -2

Structure:
abc: 12.0083 16.9909 10.2535
angles: 90.00 125.25 90.00
Space group Cm (No. 8)
Inequivalent atoms, fractional coordinates:
Na: 0.0000 0.0000 0.0000 [2 per cell]
Na: 0.0053 0.0000 0.3440 [2 per cell]
Na: 0.0760 0.3445 0.4196 [4 per cell]
Na: 0.1583 0.5000 0.6639 [2 per cell]
Na: 0.1660 0.1529 0.5937 [4 per cell]
Na: 0.1734 0.1677 0.9980 [4 per cell]
Na: 0.1981 0.5000 0.2820 [2 per cell]
Na: 0.2965 0.2925 0.3097 [4 per cell]
Na: 0.4513 0.1342 0.9964 [4 per cell]
Na: 0.4909 0.2007 0.6945 [4 per cell]
Tl: 0.0015 0.1909 0.1948 [4 per cell]
Tl: 0.1997 0.0000 0.8186 [2 per cell]
Tl: 0.2137 0.4059 0.9983 [4 per cell]
Tl: 0.2852 0.0956 0.3767 [4 per cell]
Tl: 0.3234 0.3090 0.8156 [4 per cell]
Tl: 0.3963 0.0000 0.2066 [2 per cell]
Tl: 0.4119 0.4036 0.6197 [4 per cell]
Sn: 0.4043 0.0000 0.7096 [2 per cell]

***

Record 5
This entry pairs a crystal structure of Na3Tl8Sn3 with its computed powder X-ray diffraction pattern. Radiation: a wavelength of 1.5418 Å. Structure: DFT lattice parameters and positions (PBE).
Neutral-atom scattering factors, no anomalous dispersion.

Most intense lines, 10° ≤ 2θ ≤ 90°, low angle first:
2θ (°)	intensity	h k l
15.5	78.0	0 1 -1
31.1	82.3	2 1 2
31.8	93.0	0 1 3
33.3	100.0	1 3 1
34.3	84.2	1 2 -2
36.6	66.5	2 0 -1

Structure:
abc: 6.1319 8.1761 9.3848
angles: 82.00 72.52 69.18
Space group P-1 (No. 2)
Inequivalent atoms, fractional coordinates:
Na: 0.0000 0.0000 0.0000 [1 per cell]
Na: 0.1994 0.1819 0.2690 [2 per cell]
Tl: 0.1297 0.5825 0.1138 [2 per cell]
Tl: 0.2380 0.8003 0.4189 [2 per cell]
Tl: 0.2794 0.0871 0.6515 [2 per cell]
Tl: 0.4010 0.6018 0.7161 [2 per cell]
Sn: 0.0000 0.5000 0.5000 [1 per cell]
Sn: 0.4508 0.1994 0.9213 [2 per cell]

***

Record 6
This entry pairs a crystal structure of NaUSn with its computed powder X-ray diffraction pattern. Radiation: a wavelength of 1.5418 Å. Structure: DFT lattice parameters and positions (PBE).
Neutral-atom scattering factors, no anomalous dispersion.

Most intense lines, 10° ≤ 2θ ≤ 90°, low angle first:
2θ (°)	intensity	h k l
17.8	100.0	1 1 0
23.5	31.6	2 0 -1
30.7	55.7	0 2 0
32.6	34.8	0 0 2
34.6	80.1	3 1 -1
36.6	59.3	3 1 1

Structure:
abc: 9.7581 5.8235 5.5057
angles: 90.00 94.35 90.00
Space group C2/m (No. 12)
Inequivalent atoms, fractional coordinates:
Na: 0.0851 0.0000 0.2507 [4 per cell]
U: 0.0736 0.5000 0.6958 [4 per cell]
Sn: 0.2454 0.5000 0.2299 [4 per cell]